(1)
Starting from a structure optimized by DFT (GGA-PBE), the powder XRD pattern of La3Cd was calculated for CuKα.
Intensities are scaled so that the largest is 100.

Atomic structure:
```
4
Lattice="5.082 0.000 0.000 0.000 5.082 0.000 0.000 0.000 5.082" Properties=species:S:1:pos:R:3 pbc="T T T"
La 0.000 0.000 2.541
La 0.000 2.541 0.000
La 2.541 0.000 0.000
Cd 2.541 2.541 2.541
```

Top 6 peaks for 10 to 80 degrees two-theta, in order of rising 2θ:
| d/Å | 2theta | I/Imax |
| --- | --- | --- |
| 2.934 | 30.47 | 100 |
| 2.541 | 35.33 | 50 |
| 1.797 | 50.82 | 35 |
| 1.532 | 60.42 | 42 |
| 1.467 | 63.41 | 12 |
| 1.270 | 74.72 | 6 |

(2)
Starting from a structure optimized by DFT (GGA-PBE), the powder XRD pattern of TbNdNi2Ge4 was calculated for CuKα.
Intensities are scaled so that the largest is 100.

Atomic structure:
```
8
Lattice="4.220 0.000 0.000 0.000 2.087 8.343 0.000 -2.087 8.343" Properties=species:S:1:pos:R:3 pbc="T T T"
Tb 0.000 0.000 0.000
Nd 2.110 0.000 3.605
Ni 0.000 0.000 13.169
Ni 2.110 0.000 7.150
Ge 0.000 0.000 6.028
Ge 0.000 0.000 10.833
Ge 2.110 0.000 9.439
Ge 2.110 0.000 14.316
```

Top 6 peaks for 10 to 80 degrees two-theta, in order of rising 2θ:
| d/Å | 2theta | I/Imax |
| --- | --- | --- |
| 2.922 | 30.60 | 21 |
| 2.618 | 34.25 | 100 |
| 2.606 | 34.41 | 40 |
| 2.322 | 38.78 | 29 |
| 2.110 | 42.86 | 29 |
| 2.087 | 43.36 | 30 |

(3)
Starting from a structure optimized by DFT (GGA-PBE), the powder XRD pattern of ThSe2O6 was calculated for CuKα.
Intensities are scaled so that the largest is 100.

Atomic structure:
```
36
Lattice="7.297 0.000 0.000 0.000 11.295 0.000 0.000 0.000 6.757" Properties=species:S:1:pos:R:3 pbc="T T T"
Th 1.076 1.646 0.000
Th 2.573 7.294 3.379
Th 4.724 4.001 0.000
Th 6.221 9.648 3.379
Se 0.352 9.220 0.076
Se 1.063 5.173 0.365
Se 2.586 10.821 3.744
Se 3.296 3.572 3.455
Se 4.000 7.723 0.076
Se 4.711 0.474 0.365
Se 6.234 6.121 3.744
Se 6.945 2.075 3.455
O 0.231 7.237 4.066
O 0.514 10.803 0.784
O 0.525 2.824 4.747
O 0.916 1.790 2.316
O 1.377 9.545 3.560
O 1.408 5.783 1.921
O 2.240 0.136 5.300
O 2.271 3.898 0.181
O 2.733 7.437 5.694
O 3.124 8.472 1.368
O 3.135 5.155 4.163
O 3.418 1.590 0.687
O 3.879 9.705 4.066
O 4.162 6.139 0.784
O 4.173 2.823 4.747
O 4.564 3.857 2.316
O 5.026 7.397 3.560
O 5.057 11.159 1.921
O 5.888 5.511 5.300
O 5.920 1.750 0.181
O 6.381 9.505 5.694
O 6.772 8.470 1.368
O 6.783 0.492 4.163
O 7.066 4.058 0.687
```

Top 6 peaks for 10 to 80 degrees two-theta, in order of rising 2θ:
| d/Å | 2theta | I/Imax |
| --- | --- | --- |
| 5.799 | 15.28 | 71 |
| 3.379 | 26.38 | 77 |
| 3.346 | 26.64 | 60 |
| 3.210 | 27.79 | 100 |
| 2.998 | 29.80 | 73 |
| 2.121 | 42.63 | 45 |

Copy entry 3 word for word.
Starting from a structure optimized by DFT (GGA-PBE), the powder XRD pattern of ThSe2O6 was calculated for CuKα.
Intensities are scaled so that the largest is 100.

Atomic structure:
```
36
Lattice="7.297 0.000 0.000 0.000 11.295 0.000 0.000 0.000 6.757" Properties=species:S:1:pos:R:3 pbc="T T T"
Th 1.076 1.646 0.000
Th 2.573 7.294 3.379
Th 4.724 4.001 0.000
Th 6.221 9.648 3.379
Se 0.352 9.220 0.076
Se 1.063 5.173 0.365
Se 2.586 10.821 3.744
Se 3.296 3.572 3.455
Se 4.000 7.723 0.076
Se 4.711 0.474 0.365
Se 6.234 6.121 3.744
Se 6.945 2.075 3.455
O 0.231 7.237 4.066
O 0.514 10.803 0.784
O 0.525 2.824 4.747
O 0.916 1.790 2.316
O 1.377 9.545 3.560
O 1.408 5.783 1.921
O 2.240 0.136 5.300
O 2.271 3.898 0.181
O 2.733 7.437 5.694
O 3.124 8.472 1.368
O 3.135 5.155 4.163
O 3.418 1.590 0.687
O 3.879 9.705 4.066
O 4.162 6.139 0.784
O 4.173 2.823 4.747
O 4.564 3.857 2.316
O 5.026 7.397 3.560
O 5.057 11.159 1.921
O 5.888 5.511 5.300
O 5.920 1.750 0.181
O 6.381 9.505 5.694
O 6.772 8.470 1.368
O 6.783 0.492 4.163
O 7.066 4.058 0.687
```

Top 6 peaks for 10 to 80 degrees two-theta, in order of rising 2θ:
| d/Å | 2theta | I/Imax |
| --- | --- | --- |
| 5.799 | 15.28 | 71 |
| 3.379 | 26.38 | 77 |
| 3.346 | 26.64 | 60 |
| 3.210 | 27.79 | 100 |
| 2.998 | 29.80 | 73 |
| 2.121 | 42.63 | 45 |